Record 1
Diffraction record for HoNi22B6. The powder X-ray diffraction pattern is simulated, not measured: it uses a DFT-relaxed cell (GGA-PBE, Alexandria) and CuKα.
Kinematic intensities with the Lorentz-polarization factor, no thermal factor.

Structural model:
```
data_HoNi22B6
_chemical_formula_sum 'Ho4 Ni88 B24'
_cell_length_a 10.5729
_cell_length_b 10.5729
_cell_length_c 10.5729
_cell_angle_alpha 90.00
_cell_angle_beta 90.00
_cell_angle_gamma 90.00
_symmetry_space_group_name_H-M 'F m -3 m'
_symmetry_Int_Tables_number 225
_symmetry_space_group_name_Hall '-F 4 2 3'
loop_
_atom_site_label
_atom_site_type_symbol
_atom_site_fract_x
_atom_site_fract_y
_atom_site_fract_z
_atom_site_occupancy
Ho1 Ho 0.0000 0.0000 0.0000 1
Ni1 Ni 0.0000 0.1726 0.1726 1
Ni2 Ni 0.1174 0.1174 0.3826 1
Ni3 Ni 0.2500 0.2500 0.2500 1
B1 B 0.0000 0.0000 0.2714 1
```

Top 10 peaks for 2θ = 10–90°, sorted by position:
hkl	2theta	Rel. int.
1 1 1	14.51	9
3 1 1	27.99	11
4 2 0	38.06	8
4 2 2	41.86	34
3 3 3	44.53	100
4 4 0	48.72	23
5 3 1	51.11	10
6 0 0	51.89	14
6 6 0	76.44	22
5 5 5	78.32	15

Record 2
Diffraction record for HoNi6BP. The powder X-ray diffraction pattern is simulated, not measured: it uses a DFT-relaxed cell (GGA-PBE, Alexandria) and CuKα.
Kinematic intensities with the Lorentz-polarization factor, no thermal factor.

Structural model:
```
data_HoNi6BP
_chemical_formula_sum 'Ho4 Ni24 B4 P4'
_cell_length_a 6.4518
_cell_length_b 7.5268
_cell_length_c 10.1449
_cell_angle_alpha 90.00
_cell_angle_beta 90.00
_cell_angle_gamma 90.00
_symmetry_space_group_name_H-M 'I m m a'
_symmetry_Int_Tables_number 74
_symmetry_space_group_name_Hall '-I 2b 2'
loop_
_atom_site_label
_atom_site_type_symbol
_atom_site_fract_x
_atom_site_fract_y
_atom_site_fract_z
_atom_site_occupancy
Ho1 Ho 0.0000 0.2500 0.1800 1
Ni1 Ni 0.0000 0.2500 0.4498 1
Ni2 Ni 0.0000 0.2500 0.8917 1
Ni3 Ni 0.2185 0.0215 0.6248 1
B1 B 0.0000 0.0000 0.5000 1
P1 P 0.2500 0.2500 0.7500 1
```

Top 10 peaks for 2θ = 10–90°, sorted by position:
hkl	2theta	Rel. int.
1 0 3	29.83	29
2 1 1	31.43	41
0 0 4	35.39	20
2 2 0	36.69	100
1 2 3	38.41	47
1 1 4	40.03	41
0 4 0	48.37	29
3 0 3	50.28	19
2 2 4	51.90	35
1 3 4	53.28	18

Record 3
Diffraction record for HoPaB2O8. The powder X-ray diffraction pattern is simulated, not measured: it uses a DFT-relaxed cell (GGA-PBE, Alexandria) and CuKα.
Kinematic intensities with the Lorentz-polarization factor, no thermal factor.

Structural model:
```
data_HoPaB2O8
_chemical_formula_sum 'Ho2 Pa2 B4 O16'
_cell_length_a 4.6725
_cell_length_b 4.6725
_cell_length_c 11.0953
_cell_angle_alpha 90.00
_cell_angle_beta 90.00
_cell_angle_gamma 90.00
_symmetry_space_group_name_H-M 'I -4'
_symmetry_Int_Tables_number 82
_symmetry_space_group_name_Hall 'I -4'
loop_
_atom_site_label
_atom_site_type_symbol
_atom_site_fract_x
_atom_site_fract_y
_atom_site_fract_z
_atom_site_occupancy
Ho1 Ho 0.0000 0.0000 0.0000 1
Pa1 Pa 0.0000 0.5000 0.2500 1
B1 B 0.0000 0.0000 0.5000 1
B2 B 0.0000 0.5000 0.7500 1
O1 O 0.1133 0.2428 0.4276 1
O2 O 0.1200 0.7452 0.8188 1
```

Top 10 peaks for 2θ = 10–90°, sorted by position:
hkl	2theta	Rel. int.
1 0 1	20.63	100
1 0 3	30.83	32
1 1 2	31.52	99
0 0 4	32.27	20
2 0 0	38.54	21
2 1 1	44.10	40
1 0 5	45.24	22
1 2 3	50.14	31
2 0 4	51.12	27
1 3 2	65.36	24

Record 4
Diffraction record for Ho3B9Os2. The powder X-ray diffraction pattern is simulated, not measured: it uses a DFT-relaxed cell (GGA-PBE, Alexandria) and CuKα.
Kinematic intensities with the Lorentz-polarization factor, no thermal factor.

Structural model:
```
data_Ho3B9Os2
_chemical_formula_sum 'Ho6 B18 Os4'
_cell_length_a 3.1537
_cell_length_b 7.8774
_cell_length_c 13.3696
_cell_angle_alpha 90.00
_cell_angle_beta 90.00
_cell_angle_gamma 90.00
_symmetry_space_group_name_H-M 'I m m m'
_symmetry_Int_Tables_number 71
_symmetry_space_group_name_Hall '-I 2 2'
loop_
_atom_site_label
_atom_site_type_symbol
_atom_site_fract_x
_atom_site_fract_y
_atom_site_fract_z
_atom_site_occupancy
Ho1 Ho 0.0000 0.0000 0.0000 1
Ho2 Ho 0.0000 0.0000 0.2701 1
B1 B 0.0000 0.2536 0.1321 1
B2 B 0.0000 0.3253 0.3641 1
B3 B 0.0000 0.5000 0.0000 1
Os1 Os 0.0000 0.1765 0.5000 1
```

Top 10 peaks for 2θ = 10–90°, sorted by position:
hkl	2theta	Rel. int.
0 0 2	13.24	42
0 2 2	26.26	47
0 0 4	26.67	100
1 1 0	30.53	98
0 3 1	34.82	38
1 2 1	37.13	35
0 3 3	39.85	54
1 1 4	40.98	86
1 2 3	41.92	58
1 3 2	47.04	43

Record 5
Diffraction record for Ho2BPd4Pt2. The powder X-ray diffraction pattern is simulated, not measured: it uses a DFT-relaxed cell (GGA-PBE, Alexandria) and CuKα.
Kinematic intensities with the Lorentz-polarization factor, no thermal factor.

Structural model:
```
data_Ho2BPd4Pt2
_chemical_formula_sum 'Ho4 B2 Pd8 Pt4'
_cell_length_a 5.9285
_cell_length_b 5.9285
_cell_length_c 8.4323
_cell_angle_alpha 90.00
_cell_angle_beta 90.00
_cell_angle_gamma 90.00
_symmetry_space_group_name_H-M 'I 4/m m m'
_symmetry_Int_Tables_number 139
_symmetry_space_group_name_Hall '-I 4 2'
loop_
_atom_site_label
_atom_site_type_symbol
_atom_site_fract_x
_atom_site_fract_y
_atom_site_fract_z
_atom_site_occupancy
Ho1 Ho 0.0000 0.5000 0.2500 1
B1 B 0.0000 0.0000 0.0000 1
Pd1 Pd 0.2406 0.2406 0.5000 1
Pt1 Pt 0.0000 0.0000 0.2499 1
```

Top 10 peaks for 2θ = 10–90°, sorted by position:
hkl	2theta	Rel. int.
0 0 2	21.07	5
2 0 0	30.14	6
2 0 2	37.07	100
0 0 4	42.90	17
2 2 0	43.16	33
2 2 4	62.49	22
4 0 0	62.68	11
2 0 6	74.76	13
4 2 2	75.12	25
4 0 4	78.96	11

Record 6
Diffraction record for PmHoB4. The powder X-ray diffraction pattern is simulated, not measured: it uses a DFT-relaxed cell (GGA-PBE, Alexandria) and CuKα.
Kinematic intensities with the Lorentz-polarization factor, no thermal factor.

Structural model:
```
data_PmHoB4
_chemical_formula_sum 'Pm4 Ho4 B16'
_cell_length_a 6.2747
_cell_length_b 12.2789
_cell_length_c 4.0101
_cell_angle_alpha 90.00
_cell_angle_beta 90.00
_cell_angle_gamma 90.00
_symmetry_space_group_name_H-M 'P b a m'
_symmetry_Int_Tables_number 55
_symmetry_space_group_name_Hall '-P 2 2ab'
loop_
_atom_site_label
_atom_site_type_symbol
_atom_site_fract_x
_atom_site_fract_y
_atom_site_fract_z
_atom_site_occupancy
Pm1 Pm 0.1337 0.1529 0.0000 1
Ho1 Ho 0.1442 0.4103 0.0000 1
B1 B 0.0333 0.6937 0.5000 1
B2 B 0.1168 0.5480 0.5000 1
B3 B 0.1269 0.9746 0.5000 1
B4 B 0.2041 0.8073 0.5000 1
```

Top 10 peaks for 2θ = 10–90°, sorted by position:
hkl	2theta	Rel. int.
0 0 1	22.17	100
0 4 0	29.09	28
2 1 0	29.38	50
1 4 0	32.47	27
2 3 0	36.07	28
0 4 1	36.88	38
2 1 1	37.11	67
1 4 1	39.67	38
2 3 1	42.75	39
0 0 2	45.22	24

Record 7
Diffraction record for PmHo2B6. The powder X-ray diffraction pattern is simulated, not measured: it uses a DFT-relaxed cell (GGA-PBE, Alexandria) and CuKα.
Kinematic intensities with the Lorentz-polarization factor, no thermal factor.

Structural model:
```
data_PmHo2B6
_chemical_formula_sum 'Pm1 Ho2 B6'
_cell_length_a 5.7197
_cell_length_b 5.7197
_cell_length_c 3.9253
_cell_angle_alpha 90.00
_cell_angle_beta 90.00
_cell_angle_gamma 120.00
_symmetry_space_group_name_H-M 'P 6/m m m'
_symmetry_Int_Tables_number 191
_symmetry_space_group_name_Hall '-P 6 2'
loop_
_atom_site_label
_atom_site_type_symbol
_atom_site_fract_x
_atom_site_fract_y
_atom_site_fract_z
_atom_site_occupancy
Pm1 Pm 0.0000 0.0000 0.0000 1
Ho1 Ho 0.3333 0.6667 0.0000 1
B1 B 0.0000 0.3382 0.5000 1
```

Top 10 peaks for 2θ = 10–90°, sorted by position:
hkl	2theta	Rel. int.
0 0 1	22.65	47
1 1 0	31.28	74
1 1 1	38.97	100
0 0 2	46.26	11
3 0 0	55.67	19
1 1 2	56.90	28
3 0 1	60.87	21
2 2 1	70.03	18
3 0 2	75.20	16
1 1 3	80.77	12